No. 1
Starting from the PBE geometry in OQMD, the XRD peak list of CsTl3In3Au4 was computed for Cu Kα, 1.54184 Å.
Peak positions follow from Bragg's law for the DFT cell and can differ from measured ones.

Most intense lines, 2θ from 15° to 90°, in order of rising 2θ:
| Position (°2θ) | intensity |
| --- | --- |
| 28.6 | 33 |
| 31.2 | 100 |
| 32.3 | 62 |
| 37.9 | 92 |
| 39.1 | 42 |
| 41.8 | 39 |
| 42.7 | 28 |
| 51.6 | 34 |
| 59.3 | 21 |
| 66.9 | 25 |

Cell and atoms:
```
CsTl3In3Au4
1.0
8.468 0.000 0.000
-4.234 7.334 0.000
0.000 0.000 4.611
Cs Tl In Au
1 3 3 4
direct
0.000 0.000 0.000
0.391 0.196 0.500
0.804 0.196 0.500
0.804 0.609 0.500
0.070 0.535 0.000
0.465 0.535 0.000
0.465 0.930 0.000
0.215 0.429 0.500
0.215 0.785 0.500
0.571 0.785 0.500
0.667 0.333 0.000
```

---

No. 2
Starting from the PBE geometry in OQMD, the XRD peak list of Cs2KP2Au3 was computed for Cu Kα, 1.54184 Å.
Peak positions follow from Bragg's law for the DFT cell and can differ from measured ones.

Most intense lines, 2θ from 15° to 90°, in order of rising 2θ:
| Position (°2θ) | intensity |
| --- | --- |
| 23.4 | 24 |
| 27.0 | 64 |
| 29.5 | 26 |
| 30.7 | 100 |
| 31.7 | 73 |
| 35.4 | 32 |
| 37.9 | 41 |
| 46.8 | 28 |
| 54.0 | 32 |
| 55.7 | 22 |

Cell and atoms:
```
Cs2KP2Au3
1.0
3.398 1.962 6.645
-3.398 1.962 6.645
0.000 -3.923 6.645
Cs K P Au
2 1 2 3
direct
0.091 0.091 0.091
0.909 0.909 0.909
0.500 0.500 0.500
0.264 0.264 0.264
0.736 0.736 0.736
0.000 0.500 0.500
0.500 0.000 0.500
0.500 0.500 0.000
```

---

No. 3
Starting from the PBE geometry in OQMD, the XRD peak list of CsKPAu was computed for Cu Kα, 1.54184 Å.
Peak positions follow from Bragg's law for the DFT cell and can differ from measured ones.

Most intense lines, 2θ from 15° to 90°, in order of rising 2θ:
| Position (°2θ) | intensity |
| --- | --- |
| 17.0 | 37 |
| 27.1 | 33 |
| 28.2 | 91 |
| 29.2 | 36 |
| 30.3 | 100 |
| 31.3 | 43 |
| 31.6 | 57 |
| 35.7 | 41 |
| 36.7 | 36 |
| 52.4 | 48 |

Cell and atoms:
```
CsKPAu
1.0
6.740 0.000 0.000
0.000 3.775 5.222
0.000 -3.775 5.222
Cs K P Au
2 2 2 2
direct
0.250 0.148 0.852
0.750 0.852 0.148
0.250 0.805 0.506
0.750 0.506 0.805
0.250 0.566 0.108
0.750 0.108 0.566
0.000 0.324 0.324
0.500 0.324 0.324
```

---

No. 4
Starting from the PBE geometry in OQMD, the XRD peak list of Cs3KP2Au2 was computed for Cu Kα, 1.54184 Å.
Peak positions follow from Bragg's law for the DFT cell and can differ from measured ones.

Most intense lines, 2θ from 15° to 90°, in order of rising 2θ:
| Position (°2θ) | intensity |
| --- | --- |
| 26.7 | 49 |
| 27.4 | 58 |
| 27.5 | 49 |
| 30.1 | 100 |
| 30.6 | 33 |
| 31.3 | 58 |
| 35.4 | 41 |
| 36.0 | 38 |
| 49.3 | 31 |
| 51.4 | 28 |

Cell and atoms:
```
Cs3KP2Au2
1.0
6.594 0.000 0.000
0.000 6.747 0.000
-2.141 0.000 6.276
Cs K P Au
3 1 2 2
direct
0.000 0.000 0.000
0.298 0.500 0.294
0.660 0.000 0.350
0.968 0.500 0.650
0.242 0.000 0.593
0.712 0.500 0.025
0.471 0.250 0.816
0.471 0.750 0.816
```

---

No. 5
Starting from the PBE geometry in OQMD, the XRD peak list of CsKSbAu was computed for Cu Kα, 1.54184 Å.
Peak positions follow from Bragg's law for the DFT cell and can differ from measured ones.

Most intense lines, 2θ from 15° to 90°, in order of rising 2θ:
| Position (°2θ) | intensity |
| --- | --- |
| 15.8 | 75 |
| 26.3 | 64 |
| 28.4 | 78 |
| 29.1 | 100 |
| 33.7 | 80 |
| 34.9 | 34 |
| 37.4 | 48 |
| 47.0 | 28 |
| 49.2 | 60 |
| 60.4 | 32 |

Cell and atoms:
```
CsKSbAu
1.0
7.183 0.000 0.000
0.000 3.963 5.620
0.000 -3.963 5.620
Cs K Sb Au
2 2 2 2
direct
0.250 0.176 0.824
0.750 0.824 0.176
0.250 0.840 0.491
0.750 0.491 0.840
0.250 0.586 0.087
0.750 0.087 0.586
0.000 0.317 0.317
0.500 0.317 0.317
```

---

No. 6
Starting from the PBE geometry in OQMD, the XRD peak list of CsKSbAu was computed for Cu Kα, 1.54184 Å.
Peak positions follow from Bragg's law for the DFT cell and can differ from measured ones.

Most intense lines, 2θ from 15° to 90°, in order of rising 2θ:
| Position (°2θ) | intensity |
| --- | --- |
| 15.7 | 73 |
| 26.2 | 74 |
| 28.6 | 82 |
| 29.1 | 100 |
| 33.7 | 78 |
| 34.6 | 35 |
| 37.4 | 53 |
| 47.0 | 29 |
| 49.1 | 41 |
| 60.4 | 29 |

Cell and atoms:
```
CsKSbAu
1.0
7.111 0.000 0.000
0.000 5.629 4.001
0.000 -5.629 4.001
Cs K Sb Au
2 2 2 2
direct
0.000 0.170 0.830
0.000 0.830 0.170
0.500 0.174 0.508
0.500 0.508 0.174
0.000 0.415 0.415
0.500 0.919 0.919
0.255 0.662 0.662
0.745 0.662 0.662
```

---

No. 7
Starting from the PBE geometry in OQMD, the XRD peak list of Cs2KSb2Au3 was computed for Cu Kα, 1.54184 Å.
Peak positions follow from Bragg's law for the DFT cell and can differ from measured ones.

Most intense lines, 2θ from 15° to 90°, in order of rising 2θ:
| Position (°2θ) | intensity |
| --- | --- |
| 16.9 | 48 |
| 25.0 | 63 |
| 30.4 | 100 |
| 31.2 | 43 |
| 34.3 | 68 |
| 35.7 | 95 |
| 44.6 | 33 |
| 45.3 | 33 |
| 53.5 | 44 |
| 75.6 | 32 |

Cell and atoms:
```
Cs2KSb2Au3
1.0
3.423 1.976 7.428
-3.423 1.976 7.428
0.000 -3.953 7.428
Cs K Sb Au
2 1 2 3
direct
0.083 0.083 0.083
0.917 0.917 0.917
0.500 0.500 0.500
0.252 0.252 0.252
0.748 0.748 0.748
0.000 0.500 0.500
0.500 0.000 0.500
0.500 0.500 0.000
```

---

No. 8
Starting from the PBE geometry in OQMD, the XRD peak list of Cs2K2Sn2Au7 was computed for Cu Kα, 1.54184 Å.
Peak positions follow from Bragg's law for the DFT cell and can differ from measured ones.

Most intense lines, 2θ from 15° to 90°, in order of rising 2θ:
| Position (°2θ) | intensity |
| --- | --- |
| 15.8 | 100 |
| 18.1 | 46 |
| 25.4 | 30 |
| 28.4 | 49 |
| 30.1 | 46 |
| 31.4 | 47 |
| 31.9 | 90 |
| 45.0 | 37 |
| 45.8 | 34 |
| 52.2 | 29 |

Cell and atoms:
```
Cs2K2Sn2Au7
1.0
3.505 2.023 9.788
-3.505 2.023 9.788
0.000 -4.047 9.788
Cs K Sn Au
2 2 2 7
direct
0.186 0.186 0.186
0.814 0.814 0.814
0.315 0.315 0.315
0.685 0.685 0.685
0.050 0.050 0.050
0.950 0.950 0.950
0.286 0.286 0.687
0.286 0.687 0.286
0.313 0.714 0.714
0.500 0.500 0.500
0.687 0.286 0.286
0.714 0.313 0.714
0.714 0.714 0.313
```

---

No. 9
Starting from the PBE geometry in OQMD, the XRD peak list of Cs2K2Sn2Au7 was computed for Cu Kα, 1.54184 Å.
Peak positions follow from Bragg's law for the DFT cell and can differ from measured ones.

Most intense lines, 2θ from 15° to 90°, in order of rising 2θ:
| Position (°2θ) | intensity |
| --- | --- |
| 15.0 | 38 |
| 15.9 | 100 |
| 17.7 | 43 |
| 28.0 | 55 |
| 30.3 | 49 |
| 31.4 | 47 |
| 32.1 | 90 |
| 42.5 | 61 |
| 44.9 | 34 |
| 52.7 | 32 |

Cell and atoms:
```
Cs2K2Sn2Au7
1.0
3.472 2.004 10.004
-3.472 2.004 10.004
0.000 -4.009 10.004
Cs K Sn Au
2 2 2 7
direct
0.188 0.188 0.188
0.812 0.812 0.812
0.318 0.318 0.318
0.682 0.682 0.682
0.449 0.449 0.449
0.551 0.551 0.551
0.000 0.000 0.000
0.199 0.788 0.788
0.212 0.212 0.801
0.212 0.801 0.212
0.788 0.199 0.788
0.788 0.788 0.199
0.801 0.212 0.212
```

---

No. 10
Starting from the PBE geometry in OQMD, the XRD peak list of CsKTlAu3 was computed for Cu Kα, 1.54184 Å.
Peak positions follow from Bragg's law for the DFT cell and can differ from measured ones.

Most intense lines, 2θ from 15° to 90°, in order of rising 2θ:
| Position (°2θ) | intensity |
| --- | --- |
| 15.9 | 82 |
| 17.9 | 100 |
| 27.5 | 90 |
| 30.7 | 37 |
| 31.7 | 61 |
| 32.2 | 99 |
| 34.8 | 35 |
| 38.6 | 73 |
| 41.8 | 81 |
| 56.7 | 34 |

Cell and atoms:
```
CsKTlAu3
1.0
5.818 0.000 0.000
0.000 6.874 0.000
0.000 0.000 9.500
Cs K Tl Au
2 2 2 6
direct
0.250 0.000 0.132
0.750 0.000 0.868
0.250 0.500 0.372
0.750 0.500 0.628
0.250 0.500 0.920
0.750 0.500 0.080
0.000 0.000 0.500
0.250 0.218 0.704
0.250 0.782 0.704
0.500 0.000 0.500
0.750 0.218 0.296
0.750 0.782 0.296
```

---

No. 11
Starting from the PBE geometry in OQMD, the XRD peak list of CsKTlAu3 was computed for Cu Kα, 1.54184 Å.
Peak positions follow from Bragg's law for the DFT cell and can differ from measured ones.

Most intense lines, 2θ from 15° to 90°, in order of rising 2θ:
| Position (°2θ) | intensity |
| --- | --- |
| 15.8 | 89 |
| 18.0 | 100 |
| 27.7 | 81 |
| 30.7 | 39 |
| 31.2 | 61 |
| 32.0 | 81 |
| 35.6 | 39 |
| 38.7 | 47 |
| 49.9 | 41 |
| 57.3 | 36 |

Cell and atoms:
```
CsKTlAu3
1.0
5.829 0.000 0.000
0.000 7.048 0.000
0.000 0.000 9.217
Cs K Tl Au
2 2 2 6
direct
0.250 0.000 0.134
0.750 0.000 0.866
0.250 0.500 0.363
0.750 0.500 0.637
0.250 0.000 0.570
0.750 0.000 0.430
0.000 0.500 0.000
0.250 0.298 0.776
0.250 0.702 0.776
0.500 0.500 0.000
0.750 0.298 0.224
0.750 0.702 0.224
```

---

No. 12
Starting from the PBE geometry in OQMD, the XRD peak list of CsMoAu3S4 was computed for Cu Kα, 1.54184 Å.
Peak positions follow from Bragg's law for the DFT cell and can differ from measured ones.

Most intense lines, 2θ from 15° to 90°, in order of rising 2θ:
| Position (°2θ) | intensity |
| --- | --- |
| 24.3 | 100 |
| 28.1 | 64 |
| 40.2 | 86 |
| 47.5 | 52 |
| 49.8 | 20 |
| 58.1 | 13 |
| 63.9 | 20 |
| 65.8 | 28 |
| 73.0 | 27 |
| 78.3 | 16 |

Cell and atoms:
```
CsMoAu3S4
1.0
6.347 0.000 0.000
0.000 6.347 0.000
0.000 0.000 6.347
Cs Mo Au S
1 1 3 4
direct
0.000 0.000 0.000
0.500 0.500 0.500
0.000 0.500 0.500
0.500 0.000 0.500
0.500 0.500 0.000
0.291 0.291 0.291
0.291 0.709 0.709
0.709 0.291 0.709
0.709 0.709 0.291
```